Record 1
ErMnGa5Ni2: simulated powder diffraction line list (λ = 1.5418 Å (Cu Kα)), based on DFT lattice parameters and positions (PBE).
Kinematic intensities with the Lorentz-polarization factor, no thermal factor.

Main lines, by intensity (2θ = 5–70°):
d 2.314, 2θ = 38.9°, intensity 100, hkl 2 0 0
d 2.388, 2θ = 37.7°, intensity 91, hkl 1 1 2
d 1.641, 2θ = 56.0°, intensity 40, hkl 2 0 3
d 1.636, 2θ = 56.2°, intensity 38, hkl 2 2 0
d 2.963, 2θ = 30.2°, intensity 34, hkl 1 1 1
d 2.788, 2θ = 32.1°, intensity 31, hkl 1 0 2
d 2.328, 2θ = 38.7°, intensity 30, hkl 0 0 3
d 1.350, 2θ = 69.7°, intensity 29, hkl 3 1 2

Structural model:
```
data_ErMnGa5Ni2
_space_group_name_H-M_alt 'P 4/m m m'
_space_group_IT_number 123
_space_group_name_Hall '-P 4 2'
_cell_length_a 4.628
_cell_length_b 4.628
_cell_length_c 6.985
_cell_angle_alpha 90.00
_cell_angle_beta 90.00
_cell_angle_gamma 90.00
loop_
_atom_site_label
_atom_site_fract_x
_atom_site_fract_y
_atom_site_fract_z
Er1 0.000 0.000 0.000
Mn1 0.000 0.000 0.500
Ga1 0.000 0.500 0.299
Ga2 0.500 0.500 0.000
Ni1 0.500 0.500 0.330
```

Record 2
Na3Er3GaO8: simulated powder diffraction line list (λ = 1.5418 Å (Cu Kα)), based on DFT lattice parameters and positions (PBE).
Kinematic intensities with the Lorentz-polarization factor, no thermal factor.

Main lines, by intensity (2θ = 5–70°):
d 5.522, 2θ = 16.0°, intensity 100, hkl 0 0 3
d 2.365, 2θ = 38.0°, intensity 70, hkl 0 2 4
d 2.721, 2θ = 32.9°, intensity 47, hkl 2 0 2
d 2.838, 2θ = 31.5°, intensity 47, hkl 0 2 1
d 1.663, 2θ = 55.2°, intensity 23, hkl 2 2 0
d 1.682, 2θ = 54.6°, intensity 22, hkl 2 0 8
d 1.593, 2θ = 57.9°, intensity 21, hkl 2 2 3
d 1.829, 2θ = 49.9°, intensity 19, hkl 0 2 7

Structural model:
```
data_Na3Er3GaO8
_space_group_name_H-M_alt 'R -3 m'
_space_group_IT_number 166
_space_group_name_Hall '-R 3 2"'
_cell_length_a 6.6531
_cell_length_b 6.6531
_cell_length_c 16.5669
_cell_angle_alpha 90.00
_cell_angle_beta 90.00
_cell_angle_gamma 120.00
loop_
_atom_site_label
_atom_site_fract_x
_atom_site_fract_y
_atom_site_fract_z
Na1 0.0000 0.5000 0.0000
Er1 0.0000 0.5000 0.5000
Ga1 0.0000 0.0000 0.5000
O1 0.0000 0.0000 0.2363
O2 0.0269 0.5134 0.2322
```